Sr2La2MgMnO8: computed powder XRD pattern (Cu Kα, 1.54184 Å), based on a cell relaxed with GGA+U.

Structure:
Lattice parameters (Å, degrees): 5.504 5.506 12.614 90.00 90.00 90.00
Positions (direct):
Sr: 0.000 0.000 0.000
Sr: 0.000 0.000 0.283
Sr: 0.000 0.500 0.785
Sr: 0.500 0.000 0.498
La: 0.000 0.500 0.504
La: 0.500 0.000 0.780
La: 0.500 0.500 0.001
La: 0.500 0.500 0.283
Mg: 0.500 0.000 0.144
Mg: 0.500 0.500 0.641
Mn: 0.000 0.000 0.641
Mn: 0.000 0.500 0.139
O: 0.000 0.000 0.484
O: 0.000 0.000 0.800
O: 0.000 0.500 0.310
O: 0.000 0.500 0.983
O: 0.242 0.246 0.641
O: 0.242 0.754 0.641
O: 0.247 0.263 0.140
O: 0.247 0.737 0.140
O: 0.500 0.000 0.308
O: 0.500 0.000 0.963
O: 0.500 0.500 0.466
O: 0.500 0.500 0.818
O: 0.753 0.263 0.140
O: 0.753 0.737 0.140
O: 0.758 0.246 0.641
O: 0.758 0.754 0.641

The 10 most intense peaks (15 to 90 degrees two-theta), by intensity:
2.856 Å, intensity 100; 2.753 Å, intensity 76; 2.074 Å, intensity 42; 1.946 Å, intensity 41; 1.608 Å, intensity 37; 3.720 Å, intensity 32; 3.154 Å, intensity 17; 1.147 Å, intensity 16; 2.117 Å, intensity 15; 1.635 Å, intensity 13

=====

Sr2La2MgMnO8: computed powder XRD pattern (Cu Kα, 1.54184 Å), based on a cell relaxed with GGA+U.

Structure:
Lattice parameters (Å, degrees): 3.866 3.893 12.592 90.00 90.00 90.00
Positions (direct):
Sr: 0.000 0.000 0.140
Sr: 0.000 0.000 0.860
La: 0.500 0.500 0.360
La: 0.500 0.500 0.640
Mg: 0.000 0.000 0.500
Mn: 0.500 0.500 0.000
O: 0.000 0.000 0.329
O: 0.000 0.000 0.671
O: 0.000 0.500 0.000
O: 0.000 0.500 0.500
O: 0.500 0.000 0.000
O: 0.500 0.000 0.500
O: 0.500 0.500 0.161
O: 0.500 0.500 0.839

The 10 most intense peaks (15 to 90 degrees two-theta), by intensity:
2.743 Å, intensity 100; 2.854 Å, intensity 65; 2.844 Å, intensity 65; 2.068 Å, intensity 58; 1.946 Å, intensity 27; 1.933 Å, intensity 27; 1.606 Å, intensity 24; 1.601 Å, intensity 24; 3.148 Å, intensity 23; 3.719 Å, intensity 22

=====

Sr2La2MgMnO8: computed powder XRD pattern (Cu Kα, 1.54184 Å), based on a cell relaxed with GGA+U.

Structure:
Lattice parameters (Å, degrees): 3.890 6.877 15.099 94.92 97.38 106.43
Positions (direct):
Sr: 0.106 0.250 0.464
Sr: 0.359 0.501 0.714
Sr: 0.641 0.499 0.286
Sr: 0.894 0.750 0.536
La: 0.149 0.010 0.787
La: 0.393 0.263 0.037
La: 0.607 0.737 0.963
La: 0.851 0.990 0.213
Mg: 0.123 0.622 0.127
Mg: 0.877 0.378 0.873
Mn: 0.375 0.874 0.376
Mn: 0.625 0.126 0.624
O: 0.000 0.500 0.000
O: 0.011 0.690 0.838
O: 0.123 0.116 0.626
O: 0.255 0.943 0.085
O: 0.257 0.602 0.415
O: 0.258 0.760 0.255
O: 0.369 0.363 0.874
O: 0.488 0.149 0.332
O: 0.500 0.000 0.500
O: 0.512 0.851 0.668
O: 0.631 0.637 0.126
O: 0.742 0.240 0.745
O: 0.743 0.398 0.585
O: 0.745 0.057 0.915
O: 0.877 0.884 0.374
O: 0.989 0.310 0.162

The 10 most intense peaks (15 to 90 degrees two-theta), by intensity:
2.850 Å, intensity 100; 2.751 Å, intensity 99; 1.946 Å, intensity 53; 3.718 Å, intensity 44; 2.861 Å, intensity 31; 2.075 Å, intensity 29; 2.067 Å, intensity 28; 1.605 Å, intensity 25; 1.609 Å, intensity 23; 3.146 Å, intensity 22

=====

La4MgMo2O12: computed powder XRD pattern (Cu Kα, 1.54184 Å), based on a cell relaxed with GGA+U.

Structure:
Lattice parameters (Å, degrees): 5.648 5.932 8.020 91.11 92.24 90.87
Positions (direct):
La: 0.009 0.429 0.235
La: 0.460 0.935 0.242
La: 0.540 0.065 0.758
La: 0.991 0.571 0.765
Mg: 0.500 0.500 0.500
Mo: 0.000 0.000 0.500
Mo: 0.500 0.500 0.000
O: 0.123 0.968 0.723
O: 0.195 0.716 0.433
O: 0.203 0.669 0.049
O: 0.285 0.202 0.438
O: 0.339 0.222 0.049
O: 0.400 0.463 0.750
O: 0.600 0.537 0.250
O: 0.661 0.778 0.951
O: 0.715 0.798 0.562
O: 0.797 0.331 0.951
O: 0.805 0.284 0.567
O: 0.877 0.032 0.277

The 10 most intense peaks (15 to 90 degrees two-theta), by intensity:
2.851 Å, intensity 100; 2.912 Å, intensity 95; 2.794 Å, intensity 94; 2.894 Å, intensity 89; 2.822 Å, intensity 84; 2.965 Å, intensity 66; 2.003 Å, intensity 66; 4.531 Å, intensity 45; 1.664 Å, intensity 45; 2.060 Å, intensity 42

=====

La2MgZnMoO6: computed powder XRD pattern (Cu Kα, 1.54184 Å), based on a cell relaxed with GGA+U.

Structure:
Lattice parameters (Å, degrees): 5.805 5.806 6.009 62.08 74.71 60.11
Positions (direct):
La: 0.000 0.000 0.000
La: 0.360 0.442 0.636
Mg: 0.716 0.788 0.515
Zn: 0.626 0.667 0.058
Mo: 0.176 0.205 0.342
O: 0.004 0.900 0.438
O: 0.357 0.517 0.214
O: 0.408 0.967 0.715
O: 0.572 0.975 0.155
O: 0.808 0.385 0.586
O: 0.989 0.443 0.963

The 10 most intense peaks (15 to 90 degrees two-theta), by intensity:
2.902 Å, intensity 100; 2.833 Å, intensity 59; 2.239 Å, intensity 46; 2.848 Å, intensity 37; 2.885 Å, intensity 35; 2.817 Å, intensity 32; 3.580 Å, intensity 32; 2.386 Å, intensity 29; 2.942 Å, intensity 27; 1.768 Å, intensity 26

=====

La2MgZnMoO6: computed powder XRD pattern (Cu Kα, 1.54184 Å), based on a cell relaxed with GGA+U.

Structure:
Lattice parameters (Å, degrees): 5.883 5.888 6.583 63.71 63.77 60.06
Positions (direct):
La: 0.000 0.000 0.000
La: 0.400 0.403 0.794
Mg: 0.615 0.617 0.153
Zn: 0.777 0.776 0.669
Mo: 0.202 0.203 0.391
O: 0.109 0.840 0.632
O: 0.310 0.565 0.145
O: 0.412 0.106 0.640
O: 0.564 0.983 0.143
O: 0.838 0.415 0.634
O: 0.981 0.312 0.142

The 10 most intense peaks (15 to 90 degrees two-theta), by intensity:
2.944 Å, intensity 100; 2.822 Å, intensity 64; 2.833 Å, intensity 32; 1.699 Å, intensity 31; 2.042 Å, intensity 31; 4.883 Å, intensity 24; 5.659 Å, intensity 16; 2.032 Å, intensity 15; 1.679 Å, intensity 15; 1.676 Å, intensity 15

=====

La2MgZnMoO6: computed powder XRD pattern (Cu Kα, 1.54184 Å), based on a cell relaxed with GGA+U.

Structure:
Lattice parameters (Å, degrees): 5.736 5.740 6.323 115.80 108.82 97.27
Positions (direct):
La: 0.000 0.000 0.000
La: 0.439 0.344 0.740
Mg: 0.560 0.680 0.368
Zn: 0.036 0.669 0.327
Mo: 0.683 0.176 0.368
O: 0.073 0.403 0.423
O: 0.312 0.888 0.309
O: 0.426 0.258 0.075
O: 0.694 0.583 0.633
O: 0.738 0.757 0.162
O: 0.823 0.123 0.700

The 10 most intense peaks (15 to 90 degrees two-theta), by intensity:
3.457 Å, intensity 100; 2.835 Å, intensity 94; 2.845 Å, intensity 74; 3.159 Å, intensity 63; 3.103 Å, intensity 61; 3.057 Å, intensity 51; 2.897 Å, intensity 48; 4.288 Å, intensity 44; 3.008 Å, intensity 44; 2.528 Å, intensity 40

=====

NaLaMgWO6: computed powder XRD pattern (Cu Kα, 1.54184 Å), based on a cell relaxed with GGA+U.

Structure:
Lattice parameters (Å, degrees): 5.610 5.606 7.959 90.00 90.06 90.00
Positions (direct):
Na: 0.237 0.250 0.002
Na: 0.763 0.750 0.998
La: 0.251 0.250 0.498
La: 0.749 0.750 0.502
Mg: 0.252 0.750 0.757
Mg: 0.748 0.250 0.243
W: 0.250 0.750 0.238
W: 0.750 0.250 0.762
O: 0.014 0.504 0.225
O: 0.014 0.996 0.225
O: 0.176 0.750 0.494
O: 0.330 0.750 0.011
O: 0.494 0.509 0.303
O: 0.494 0.991 0.303
O: 0.506 0.009 0.697
O: 0.506 0.491 0.697
O: 0.670 0.250 0.989
O: 0.824 0.250 0.506
O: 0.986 0.004 0.775
O: 0.986 0.496 0.775

The 10 most intense peaks (15 to 90 degrees two-theta), by intensity:
2.807 Å, intensity 100; 4.584 Å, intensity 52; 1.620 Å, intensity 29; 1.983 Å, intensity 22; 3.549 Å, intensity 18; 2.392 Å, intensity 16; 1.623 Å, intensity 14; 2.397 Å, intensity 12; 1.254 Å, intensity 12; 1.404 Å, intensity 11

=====

NaLaMgWO6: computed powder XRD pattern (Cu Kα, 1.54184 Å), based on a cell relaxed with GGA+U.

Structure:
Lattice parameters (Å, degrees): 5.605 5.605 7.958 90.05 90.05 90.62
Positions (direct):
Na: 0.247 0.753 0.000
Na: 0.753 0.247 0.000
La: 0.246 0.754 0.500
La: 0.754 0.246 0.500
Mg: 0.252 0.252 0.756
Mg: 0.748 0.748 0.244
W: 0.248 0.248 0.238
W: 0.752 0.752 0.762
O: 0.009 0.009 0.206
O: 0.009 0.494 0.271
O: 0.193 0.193 0.494
O: 0.302 0.302 0.010
O: 0.491 0.491 0.312
O: 0.494 0.009 0.271
O: 0.506 0.991 0.729
O: 0.509 0.509 0.688
O: 0.698 0.698 0.990
O: 0.807 0.807 0.506
O: 0.991 0.506 0.729
O: 0.991 0.991 0.794

The 10 most intense peaks (15 to 90 degrees two-theta), by intensity:
2.801 Å, intensity 100; 4.582 Å, intensity 76; 2.816 Å, intensity 48; 1.623 Å, intensity 42; 1.991 Å, intensity 32; 2.399 Å, intensity 27; 1.615 Å, intensity 21; 1.401 Å, intensity 17; 1.971 Å, intensity 15; 3.563 Å, intensity 14

=====

NaLaMgWO6: computed powder XRD pattern (Cu Kα, 1.54184 Å), based on a cell relaxed with GGA+U.

Structure:
Lattice parameters (Å, degrees): 5.604 5.604 8.020 90.00 90.00 90.00
Positions (direct):
Na: 0.250 0.750 0.000
Na: 0.750 0.250 0.000
La: 0.250 0.750 0.500
La: 0.750 0.250 0.500
Mg: 0.250 0.250 0.245
Mg: 0.750 0.750 0.755
W: 0.250 0.250 0.757
W: 0.750 0.750 0.243
O: 0.007 0.007 0.730
O: 0.007 0.493 0.730
O: 0.250 0.250 0.504
O: 0.250 0.250 0.990
O: 0.493 0.007 0.730
O: 0.493 0.493 0.730
O: 0.507 0.507 0.270
O: 0.507 0.993 0.270
O: 0.750 0.750 0.010
O: 0.750 0.750 0.496
O: 0.993 0.507 0.270
O: 0.993 0.993 0.270

The 10 most intense peaks (15 to 90 degrees two-theta), by intensity:
2.818 Å, intensity 100; 4.593 Å, intensity 76; 2.802 Å, intensity 49; 1.621 Å, intensity 40; 1.981 Å, intensity 34; 2.392 Å, intensity 27; 3.552 Å, intensity 24; 1.630 Å, intensity 21; 1.409 Å, intensity 20; 2.005 Å, intensity 17